[1]
Pm2SbBr2: calculated X-ray diffraction stick pattern (CuKα), based on the PBE geometry in OQMD.

Structural model:
```
data_Pm2SbBr2
_space_group_name_H-M_alt 'R -3 m'
_space_group_IT_number 166
_space_group_name_Hall '-R 3 2"'
_cell_length_a 4.3377
_cell_length_b 4.3377
_cell_length_c 32.5217
_cell_angle_alpha 90.00
_cell_angle_beta 90.00
_cell_angle_gamma 120.00
loop_
_atom_site_label
_atom_site_fract_x
_atom_site_fract_y
_atom_site_fract_z
Pm1 0.0000 0.0000 0.1118
Sb1 0.0000 0.0000 0.5000
Br1 0.0000 0.0000 0.2750
```

Principal peaks in the range 5 to 70 degrees two-theta, low angle first:
- 8.16°, intensity 75, hkl 0 0 3
- 27.42°, intensity 100, hkl 0 1 5
- 32.45°, intensity 40, hkl 0 1 8
- 36.55°, intensity 20, hkl 1 0 10
- 41.64°, intensity 42, hkl 1 1 0
- 43.46°, intensity 33, hkl 1 0 13
- 50.56°, intensity 26, hkl 0 0 18
- 53.76°, intensity 10, hkl 2 0 8
- 61.76°, intensity 11, hkl 0 2 13
- 67.49°, intensity 34, hkl 1 1 18

[2]
InCo5Se8: calculated X-ray diffraction stick pattern (CuKα), based on the PBE geometry in OQMD.

Structural model:
```
data_InCo5Se8
_space_group_name_H-M_alt 'C 1 2/m 1'
_space_group_IT_number 12
_cell_length_a 18.130
_cell_length_b 3.563
_cell_length_c 8.136
_cell_angle_alpha 90.00
_cell_angle_beta 104.50
_cell_angle_gamma 90.00
loop_
_space_group_symop_operation_xyz
'x,y,z'
'-x,-y,-z'
'-x,y,-z'
'x,-y,z'
'x+1/2,y+1/2,z'
'-x+1/2,-y+1/2,-z'
'-x+1/2,y+1/2,-z'
'x+1/2,-y+1/2,z'
loop_
_atom_site_label
_atom_site_fract_x
_atom_site_fract_y
_atom_site_fract_z
In1 0.000 0.000 0.000
Co1 0.000 0.500 0.500
Co2 0.158 0.000 0.483
Co3 0.204 0.000 0.814
Se1 0.070 0.000 0.662
Se2 0.087 0.500 0.328
Se3 0.175 0.500 0.984
Se4 0.239 0.500 0.653
```

Principal peaks in the range 5 to 70 degrees two-theta, low angle first:
- 32.91°, intensity 100, hkl 3 1 1
- 33.27°, intensity 47, hkl 6 0 -2
- 34.15°, intensity 19, hkl 0 0 3
- 34.83°, intensity 59, hkl 3 1 -2
- 35.30°, intensity 29, hkl 6 0 1
- 39.72°, intensity 18, hkl 3 1 2
- 42.44°, intensity 30, hkl 3 1 -3
- 48.66°, intensity 30, hkl 3 1 3
- 51.29°, intensity 32, hkl 0 2 0
- 52.16°, intensity 56, hkl 9 1 -1

[3]
AgSn5: calculated X-ray diffraction stick pattern (CuKα), based on the PBE geometry in OQMD.

Structural model:
```
data_AgSn5
_space_group_name_H-M_alt 'I 4/m c m'
_space_group_IT_number 140
_space_group_name_Hall '-I 4 2c'
_cell_length_a 7.171
_cell_length_b 7.171
_cell_length_c 12.441
_cell_angle_alpha 90.00
_cell_angle_beta 90.00
_cell_angle_gamma 90.00
loop_
_atom_site_label
_atom_site_fract_x
_atom_site_fract_y
_atom_site_fract_z
Ag1 0.000 0.000 0.250
Sn1 0.000 0.000 0.000
Sn2 0.151 0.349 0.138
```

Principal peaks in the range 5 to 70 degrees two-theta, low angle first:
- 28.74°, intensity 91, hkl 2 1 1
- 33.81°, intensity 70, hkl 1 1 4
- 35.39°, intensity 100, hkl 2 1 3
- 38.31°, intensity 48, hkl 2 0 4
- 39.75°, intensity 76, hkl 3 1 0
- 46.19°, intensity 17, hkl 2 2 4
- 53.18°, intensity 7, hkl 4 1 1
- 57.47°, intensity 22, hkl 4 2 0
- 59.49°, intensity 68, hkl 0 0 8
- 62.55°, intensity 35, hkl 3 3 4